This entry pairs a crystal structure of Dy4ErMg with its calculated powder XRD pattern. Radiation: Cu Kα (λ = 1.5418 Å). Structure: a DFT-relaxed cell (GGA-PBE, Alexandria).
No peak broadening, texture or thermal motion is included.

```
data_Dy4ErMg
_space_group_name_H-M_alt 'P 4/m m m'
_space_group_IT_number 123
_space_group_name_Hall '-P 4 2'
_cell_length_a 3.5424
_cell_length_b 3.5424
_cell_length_c 14.3400
_cell_angle_alpha 90.00
_cell_angle_beta 90.00
_cell_angle_gamma 90.00
loop_
_atom_site_label
_atom_site_type_symbol
_atom_site_fract_x
_atom_site_fract_y
_atom_site_fract_z
Dy1 Dy 0.0000 0.0000 0.1546
Dy2 Dy 0.5000 0.5000 0.3260
Er1 Er 0.0000 0.0000 0.5000
Mg1 Mg 0.5000 0.5000 0.0000
```

Top 10 peaks for 10 to 90 degrees two-theta, low angle first:
| d/Å | 2θ/deg | I (rel.) | hkl |
| --- | --- | --- | --- |
| 3.176 | 28.10 | 9 | 1 0 2 |
| 2.846 | 31.43 | 100 | 1 0 3 |
| 2.505 | 35.85 | 36 | 1 1 0 |
| 2.390 | 37.64 | 14 | 0 0 6 |
| 1.771 | 51.60 | 14 | 2 0 0 |
| 1.729 | 52.95 | 21 | 1 1 6 |
| 1.504 | 61.68 | 29 | 2 1 3 |
| 1.453 | 64.08 | 10 | 1 0 9 |
| 1.423 | 65.61 | 11 | 2 0 6 |
| 1.123 | 86.66 | 9 | 2 1 9 |

This entry pairs a crystal structure of Dy7Er12Mg with its calculated powder XRD pattern. Radiation: Cu Kα (λ = 1.5418 Å). Structure: a DFT-relaxed cell (GGA-PBE, Alexandria).
No peak broadening, texture or thermal motion is included.

```
data_Dy7Er12Mg
_space_group_name_H-M_alt 'R -3'
_space_group_IT_number 148
_space_group_name_Hall '-R 3'
_cell_length_a 11.7875
_cell_length_b 11.7875
_cell_length_c 15.8251
_cell_angle_alpha 90.00
_cell_angle_beta 90.00
_cell_angle_gamma 120.00
loop_
_atom_site_label
_atom_site_type_symbol
_atom_site_fract_x
_atom_site_fract_y
_atom_site_fract_z
Dy1 Dy 0.0000 0.0000 0.0000
Dy2 Dy 0.0566 0.1902 0.2925
Er1 Er 0.0313 0.4565 0.2188
Er2 Er 0.0526 0.5857 0.5841
Mg1 Mg 0.0000 0.0000 0.5000
```

Top 10 peaks for 10 to 90 degrees two-theta, low angle first:
| d/Å | 2θ/deg | I (rel.) | hkl |
| --- | --- | --- | --- |
| 3.931 | 22.62 | 16 | 1 1 3 |
| 3.023 | 29.55 | 21 | 0 1 5 |
| 2.859 | 31.28 | 42 | 0 3 3 |
| 2.787 | 32.12 | 100 | 4 -3 1 |
| 2.762 | 32.41 | 50 | 2 1 4 |
| 2.690 | 33.31 | 30 | 2 0 5 |
| 2.666 | 33.62 | 42 | 3 1 2 |
| 1.760 | 51.95 | 14 | 3 -2 8 |
| 1.702 | 53.87 | 14 | 5 -4 6 |
| 1.642 | 56.01 | 13 | 3 4 2 |

This entry pairs a crystal structure of Nd2Dy2Er2Mg with its calculated powder XRD pattern. Radiation: Cu Kα (λ = 1.5418 Å). Structure: a DFT-relaxed cell (GGA-PBE, Alexandria).
No peak broadening, texture or thermal motion is included.

```
data_Nd2Dy2Er2Mg
_space_group_name_H-M_alt 'C 1 2/m 1'
_space_group_IT_number 12
_cell_length_a 12.0959
_cell_length_b 3.6375
_cell_length_c 11.5731
_cell_angle_alpha 90.00
_cell_angle_beta 118.18
_cell_angle_gamma 90.00
loop_
_space_group_symop_operation_xyz
'x,y,z'
'-x,-y,-z'
'-x,y,-z'
'x,-y,z'
'x+1/2,y+1/2,z'
'-x+1/2,-y+1/2,-z'
'-x+1/2,y+1/2,-z'
'x+1/2,-y+1/2,z'
loop_
_atom_site_label
_atom_site_type_symbol
_atom_site_fract_x
_atom_site_fract_y
_atom_site_fract_z
Nd1 Nd 0.0296 0.0000 0.2470
Dy1 Dy 0.2477 0.0000 0.1298
Er1 Er 0.1798 0.0000 0.5857
Mg1 Mg 0.0000 0.5000 0.0000
```

Top 10 peaks for 10 to 90 degrees two-theta, low angle first:
| d/Å | 2θ/deg | I (rel.) | hkl |
| --- | --- | --- | --- |
| 3.443 | 25.88 | 39 | 1 1 0 |
| 3.038 | 29.40 | 28 | 2 0 2 |
| 3.019 | 29.59 | 24 | 4 0 -2 |
| 2.941 | 30.39 | 34 | 4 0 -1 |
| 2.893 | 30.91 | 67 | 2 0 -4 |
| 2.670 | 33.56 | 100 | 1 1 2 |
| 2.662 | 33.66 | 80 | 3 1 -2 |
| 1.626 | 56.60 | 23 | 1 1 -6 |
| 1.560 | 59.22 | 24 | 7 1 -3 |
| 1.540 | 60.08 | 21 | 2 2 -4 |

This entry pairs a crystal structure of Pm6DyEr2Mg with its calculated powder XRD pattern. Radiation: Cu Kα (λ = 1.5418 Å). Structure: a DFT-relaxed cell (GGA-PBE, Alexandria).
No peak broadening, texture or thermal motion is included.

```
data_Pm6DyEr2Mg
_space_group_name_H-M_alt 'C 1 2/c 1'
_space_group_IT_number 15
_cell_length_a 9.2777
_cell_length_b 15.0860
_cell_length_c 9.3823
_cell_angle_alpha 90.00
_cell_angle_beta 95.93
_cell_angle_gamma 90.00
loop_
_space_group_symop_operation_xyz
'x,y,z'
'-x,-y,-z'
'-x,y,-z+1/2'
'x,-y,z+1/2'
'x+1/2,y+1/2,z'
'-x+1/2,-y+1/2,-z'
'-x+1/2,y+1/2,-z+1/2'
'x+1/2,-y+1/2,z+1/2'
loop_
_atom_site_label
_atom_site_type_symbol
_atom_site_fract_x
_atom_site_fract_y
_atom_site_fract_z
Pm1 Pm 0.0514 0.1776 0.4482
Pm2 Pm 0.1027 0.3931 0.6077
Pm3 Pm 0.2188 0.2172 0.8039
Dy1 Dy 0.0000 0.0254 0.7500
Er1 Er 0.2460 0.4483 0.9481
Mg1 Mg 0.0000 0.4142 0.2500
```

Top 10 peaks for 10 to 90 degrees two-theta, low angle first:
| d/Å | 2θ/deg | I (rel.) | hkl |
| --- | --- | --- | --- |
| 3.148 | 28.35 | 32 | 2 2 -2 |
| 3.131 | 28.51 | 59 | 1 3 2 |
| 2.957 | 30.22 | 63 | 3 1 -1 |
| 2.886 | 30.99 | 79 | 2 2 2 |
| 2.872 | 31.14 | 100 | 0 2 3 |
| 2.840 | 31.50 | 46 | 2 4 -1 |
| 2.766 | 32.36 | 35 | 1 5 -1 |
| 2.604 | 34.44 | 34 | 1 3 -3 |
| 2.425 | 37.07 | 22 | 3 1 2 |
| 1.575 | 58.59 | 22 | 5 5 -1 |

This entry pairs a crystal structure of Tb2DyEr2Mg with its calculated powder XRD pattern. Radiation: Cu Kα (λ = 1.5418 Å). Structure: a DFT-relaxed cell (GGA-PBE, Alexandria).
No peak broadening, texture or thermal motion is included.

```
data_Tb2DyEr2Mg
_space_group_name_H-M_alt 'P n n m'
_space_group_IT_number 58
_cell_length_a 10.1918
_cell_length_b 11.7132
_cell_length_c 3.5984
_cell_angle_alpha 90.00
_cell_angle_beta 90.00
_cell_angle_gamma 90.00
loop_
_space_group_symop_operation_xyz
'x,y,z'
'-x,-y,-z'
'-x,-y,z'
'x,y,-z'
'x+1/2,-y+1/2,-z+1/2'
'-x+1/2,y+1/2,z+1/2'
'-x+1/2,y+1/2,-z+1/2'
'x+1/2,-y+1/2,z+1/2'
loop_
_atom_site_label
_atom_site_type_symbol
_atom_site_fract_x
_atom_site_fract_y
_atom_site_fract_z
Tb1 Tb 0.0968 0.2229 0.0000
Dy1 Dy 0.0000 0.0000 0.5000
Er1 Er 0.2493 0.4279 0.5000
Mg1 Mg 0.0000 0.5000 0.0000
```

Top 10 peaks for 10 to 90 degrees two-theta, low angle first:
| d/Å | 2θ/deg | I (rel.) | hkl |
| --- | --- | --- | --- |
| 7.689 | 11.51 | 70 | 1 1 0 |
| 5.078 | 17.46 | 37 | 1 2 0 |
| 4.673 | 18.99 | 65 | 2 1 0 |
| 2.937 | 30.44 | 100 | 1 2 1 |
| 2.851 | 31.38 | 96 | 2 1 1 |
| 2.814 | 31.79 | 40 | 1 4 0 |
| 2.561 | 35.03 | 81 | 1 3 1 |
| 2.417 | 37.20 | 56 | 3 1 1 |
| 2.336 | 38.53 | 48 | 4 2 0 |
| 1.517 | 61.09 | 44 | 0 7 1 |

This entry pairs a crystal structure of DyEr2Tm2Mg with its calculated powder XRD pattern. Radiation: Cu Kα (λ = 1.5418 Å). Structure: a DFT-relaxed cell (GGA-PBE, Alexandria).
No peak broadening, texture or thermal motion is included.

```
data_DyEr2Tm2Mg
_space_group_name_H-M_alt 'P n n m'
_space_group_IT_number 58
_cell_length_a 10.1652
_cell_length_b 11.5991
_cell_length_c 3.5817
_cell_angle_alpha 90.00
_cell_angle_beta 90.00
_cell_angle_gamma 90.00
loop_
_space_group_symop_operation_xyz
'x,y,z'
'-x,-y,-z'
'-x,-y,z'
'x,y,-z'
'x+1/2,-y+1/2,-z+1/2'
'-x+1/2,y+1/2,z+1/2'
'-x+1/2,y+1/2,-z+1/2'
'x+1/2,-y+1/2,z+1/2'
loop_
_atom_site_label
_atom_site_type_symbol
_atom_site_fract_x
_atom_site_fract_y
_atom_site_fract_z
Dy1 Dy 0.0000 0.0000 0.0000
Er1 Er 0.0930 0.2232 0.5000
Tm1 Tm 0.2502 0.4263 0.0000
Mg1 Mg 0.0000 0.5000 0.5000
```

Top 10 peaks for 10 to 90 degrees two-theta, low angle first:
| d/Å | 2θ/deg | I (rel.) | hkl |
| --- | --- | --- | --- |
| 7.645 | 11.58 | 68 | 1 1 0 |
| 5.037 | 17.61 | 37 | 1 2 0 |
| 4.655 | 19.06 | 63 | 2 1 0 |
| 2.921 | 30.60 | 100 | 1 2 1 |
| 2.839 | 31.52 | 89 | 2 1 1 |
| 2.789 | 32.10 | 37 | 1 4 0 |
| 2.544 | 35.28 | 77 | 1 3 1 |
| 2.408 | 37.35 | 58 | 3 1 1 |
| 2.328 | 38.68 | 43 | 4 2 0 |
| 1.546 | 59.82 | 27 | 4 5 1 |

This entry pairs a crystal structure of DyEr4Tm2Mg with its calculated powder XRD pattern. Radiation: Cu Kα (λ = 1.5418 Å). Structure: a DFT-relaxed cell (GGA-PBE, Alexandria).
No peak broadening, texture or thermal motion is included.

```
data_DyEr4Tm2Mg
_space_group_name_H-M_alt 'C 1 2/m 1'
_space_group_IT_number 12
_cell_length_a 12.0113
_cell_length_b 3.6364
_cell_length_c 11.3734
_cell_angle_alpha 90.00
_cell_angle_beta 107.03
_cell_angle_gamma 90.00
loop_
_space_group_symop_operation_xyz
'x,y,z'
'-x,-y,-z'
'-x,y,-z'
'x,-y,z'
'x+1/2,y+1/2,z'
'-x+1/2,-y+1/2,-z'
'-x+1/2,y+1/2,-z'
'x+1/2,-y+1/2,z'
loop_
_atom_site_label
_atom_site_type_symbol
_atom_site_fract_x
_atom_site_fract_y
_atom_site_fract_z
Dy1 Dy 0.0000 0.0000 0.0000
Er1 Er 0.2184 0.5000 0.6092
Er2 Er 0.2362 0.0000 0.8670
Tm1 Tm 0.0244 0.5000 0.2739
Mg1 Mg 0.0000 0.0000 0.5000
```

Top 10 peaks for 10 to 90 degrees two-theta, low angle first:
| d/Å | 2θ/deg | I (rel.) | hkl |
| --- | --- | --- | --- |
| 2.871 | 31.15 | 43 | 4 0 0 |
| 2.813 | 31.82 | 100 | 1 1 2 |
| 2.794 | 32.03 | 54 | 2 0 -4 |
| 2.586 | 34.69 | 84 | 3 1 -2 |
| 2.219 | 40.66 | 18 | 2 0 4 |
| 1.818 | 50.17 | 16 | 0 2 0 |
| 1.668 | 55.06 | 19 | 1 1 -6 |
| 1.534 | 60.36 | 17 | 3 1 5 |
| 1.527 | 60.65 | 17 | 5 1 -6 |
| 1.524 | 60.78 | 17 | 2 2 -4 |

This entry pairs a crystal structure of Dy4ErTm2Mg with its calculated powder XRD pattern. Radiation: Cu Kα (λ = 1.5418 Å). Structure: a DFT-relaxed cell (GGA-PBE, Alexandria).
No peak broadening, texture or thermal motion is included.

```
data_Dy4ErTm2Mg
_space_group_name_H-M_alt 'P 4/m m m'
_space_group_IT_number 123
_space_group_name_Hall '-P 4 2'
_cell_length_a 4.9437
_cell_length_b 4.9437
_cell_length_c 9.8193
_cell_angle_alpha 90.00
_cell_angle_beta 90.00
_cell_angle_gamma 90.00
loop_
_atom_site_label
_atom_site_type_symbol
_atom_site_fract_x
_atom_site_fract_y
_atom_site_fract_z
Dy1 Dy 0.0000 0.5000 0.2479
Er1 Er 0.0000 0.0000 0.5000
Tm1 Tm 0.0000 0.0000 0.0000
Tm2 Tm 0.5000 0.5000 0.5000
Mg1 Mg 0.5000 0.5000 0.0000
```

Top 10 peaks for 10 to 90 degrees two-theta, low angle first:
| d/Å | 2θ/deg | I (rel.) | hkl |
| --- | --- | --- | --- |
| 2.848 | 31.41 | 100 | 1 1 2 |
| 2.472 | 36.34 | 34 | 2 0 0 |
| 2.455 | 36.61 | 17 | 0 0 4 |
| 1.748 | 52.34 | 12 | 2 2 0 |
| 1.742 | 52.54 | 24 | 2 0 4 |
| 1.490 | 62.33 | 28 | 3 1 2 |
| 1.482 | 62.68 | 14 | 1 1 6 |
| 1.424 | 65.56 | 12 | 2 2 4 |
| 1.134 | 85.68 | 6 | 3 3 2 |
| 1.130 | 85.99 | 12 | 3 1 6 |

This entry pairs a crystal structure of Dy2Y2ErMg with its calculated powder XRD pattern. Radiation: Cu Kα (λ = 1.5418 Å). Structure: a DFT-relaxed cell (GGA-PBE, Alexandria).
No peak broadening, texture or thermal motion is included.

```
data_Dy2Y2ErMg
_space_group_name_H-M_alt 'P n n m'
_space_group_IT_number 58
_cell_length_a 10.3153
_cell_length_b 11.6603
_cell_length_c 3.6118
_cell_angle_alpha 90.00
_cell_angle_beta 90.00
_cell_angle_gamma 90.00
loop_
_space_group_symop_operation_xyz
'x,y,z'
'-x,-y,-z'
'-x,-y,z'
'x,y,-z'
'x+1/2,-y+1/2,-z+1/2'
'-x+1/2,y+1/2,z+1/2'
'-x+1/2,y+1/2,-z+1/2'
'x+1/2,-y+1/2,z+1/2'
loop_
_atom_site_label
_atom_site_type_symbol
_atom_site_fract_x
_atom_site_fract_y
_atom_site_fract_z
Dy1 Dy 0.0877 0.2239 0.0000
Y1 Y 0.2492 0.4283 0.5000
Er1 Er 0.0000 0.0000 0.5000
Mg1 Mg 0.0000 0.5000 0.0000
```

Top 10 peaks for 10 to 90 degrees two-theta, low angle first:
| d/Å | 2θ/deg | I (rel.) | hkl |
| --- | --- | --- | --- |
| 7.726 | 11.45 | 100 | 1 1 0 |
| 4.717 | 18.81 | 81 | 2 1 0 |
| 2.943 | 30.37 | 100 | 1 2 1 |
| 2.915 | 30.67 | 25 | 0 4 0 |
| 2.868 | 31.19 | 65 | 2 1 1 |
| 2.645 | 33.90 | 26 | 0 3 1 |
| 2.563 | 35.01 | 46 | 1 3 1 |
| 2.538 | 35.37 | 25 | 2 4 0 |
| 2.435 | 36.91 | 58 | 3 1 1 |
| 2.357 | 38.19 | 70 | 4 2 0 |

This entry pairs a crystal structure of DyY2Er2Mg2 with its calculated powder XRD pattern. Radiation: Cu Kα (λ = 1.5418 Å). Structure: a DFT-relaxed cell (GGA-PBE, Alexandria).
No peak broadening, texture or thermal motion is included.

```
data_DyY2Er2Mg2
_space_group_name_H-M_alt 'R -3 m'
_space_group_IT_number 166
_space_group_name_Hall '-R 3 2"'
_cell_length_a 5.4287
_cell_length_b 5.4287
_cell_length_c 23.8844
_cell_angle_alpha 90.00
_cell_angle_beta 90.00
_cell_angle_gamma 120.00
loop_
_atom_site_label
_atom_site_type_symbol
_atom_site_fract_x
_atom_site_fract_y
_atom_site_fract_z
Dy1 Dy 0.0000 0.0000 0.0000
Y1 Y 0.0000 0.0000 0.1549
Er1 Er 0.0000 0.0000 0.4266
Mg1 Mg 0.0000 0.0000 0.2892
```

Top 10 peaks for 10 to 90 degrees two-theta, low angle first:
| d/Å | 2θ/deg | I (rel.) | hkl |
| --- | --- | --- | --- |
| 4.375 | 20.30 | 38 | 0 1 2 |
| 3.351 | 26.60 | 43 | 0 1 5 |
| 2.761 | 32.42 | 97 | 1 0 7 |
| 2.714 | 33.00 | 100 | 1 1 0 |
| 1.936 | 46.94 | 35 | 0 2 7 |
| 1.604 | 57.44 | 32 | 0 1 14 |
| 1.576 | 58.57 | 36 | 2 1 7 |
| 1.567 | 58.94 | 19 | 3 0 0 |
| 1.231 | 77.56 | 20 | 1 2 14 |
| 1.218 | 78.53 | 15 | 1 3 7 |

This entry pairs a crystal structure of Dy2YEr2Mg5 with its calculated powder XRD pattern. Radiation: Cu Kα (λ = 1.5418 Å). Structure: a DFT-relaxed cell (GGA-PBE, Alexandria).
No peak broadening, texture or thermal motion is included.

```
data_Dy2YEr2Mg5
_space_group_name_H-M_alt 'P 4/m b m'
_space_group_IT_number 127
_space_group_name_Hall '-P 4 2ab'
_cell_length_a 10.5368
_cell_length_b 10.5368
_cell_length_c 5.0517
_cell_angle_alpha 90.00
_cell_angle_beta 90.00
_cell_angle_gamma 90.00
loop_
_atom_site_label
_atom_site_type_symbol
_atom_site_fract_x
_atom_site_fract_y
_atom_site_fract_z
Dy1 Dy 0.1776 0.3224 0.0000
Y1 Y 0.0000 0.0000 0.0000
Er1 Er 0.1187 0.6187 0.0000
Mg1 Mg 0.0000 0.5000 0.5000
Mg2 Mg 0.0749 0.8031 0.5000
```

Top 10 peaks for 10 to 90 degrees two-theta, low angle first:
| d/Å | 2θ/deg | I (rel.) | hkl |
| --- | --- | --- | --- |
| 7.451 | 11.88 | 26 | 1 1 0 |
| 5.052 | 17.56 | 100 | 0 0 1 |
| 3.332 | 26.76 | 40 | 3 1 0 |
| 2.922 | 30.59 | 18 | 3 2 0 |
| 2.781 | 32.18 | 96 | 3 1 1 |
| 2.556 | 35.12 | 29 | 4 1 0 |
| 2.528 | 35.51 | 86 | 0 0 2 |
| 2.013 | 45.04 | 20 | 3 1 2 |
| 1.796 | 50.83 | 20 | 4 1 2 |
| 1.391 | 67.29 | 19 | 7 2 1 |

This entry pairs a crystal structure of DyEr2MnN4 with its calculated powder XRD pattern. Radiation: Cu Kα (λ = 1.5418 Å). Structure: a DFT-relaxed cell (GGA-PBE, Alexandria).
No peak broadening, texture or thermal motion is included.

```
data_DyEr2MnN4
_space_group_name_H-M_alt 'C m c m'
_space_group_IT_number 63
_space_group_name_Hall '-C 2c 2'
_cell_length_a 3.3339
_cell_length_b 11.2563
_cell_length_c 11.3880
_cell_angle_alpha 90.00
_cell_angle_beta 90.00
_cell_angle_gamma 90.00
loop_
_atom_site_label
_atom_site_type_symbol
_atom_site_fract_x
_atom_site_fract_y
_atom_site_fract_z
Dy1 Dy 0.0000 0.1190 0.2500
Er1 Er 0.0000 0.3681 0.0434
Mn1 Mn 0.0000 0.1495 0.7500
N1 N 0.0000 0.0000 0.0000
N2 N 0.0000 0.2666 0.6320
N3 N 0.0000 0.4291 0.2500
```

Top 10 peaks for 10 to 90 degrees two-theta, low angle first:
| d/Å | 2θ/deg | I (rel.) | hkl |
| --- | --- | --- | --- |
| 3.147 | 28.36 | 76 | 0 2 3 |
| 2.847 | 31.42 | 37 | 0 0 4 |
| 2.814 | 31.80 | 63 | 0 4 0 |
| 2.787 | 32.11 | 100 | 1 1 2 |
| 2.435 | 36.92 | 26 | 1 3 1 |
| 2.283 | 39.47 | 89 | 1 3 2 |
| 2.001 | 45.31 | 26 | 0 4 4 |
| 1.855 | 49.12 | 33 | 1 1 5 |
| 1.773 | 51.55 | 24 | 1 5 2 |
| 1.682 | 54.58 | 36 | 0 6 3 |